(1)
# SmHo2ZrP4
Theoretical X-ray diffraction stick pattern, λ = 1.5418 Å (Cu Kα). Input: a cell relaxed with GGA-PBE.
Kinematic intensities with the Lorentz-polarization factor, no thermal factor.

Main lines, by angle (10° ≤ 2θ ≤ 90°):
- 2θ = 27.68°, I = 80
- 2θ = 32.07°, I = 100
- 2θ = 45.94°, I = 36
- 2θ = 46.04°, I = 36
- 2θ = 54.57°, I = 25
- 2θ = 57.21°, I = 19
- 2θ = 76.33°, I = 16
- 2θ = 85.26°, I = 14

Structural model:
```
SmHo2ZrP4
1.0
6.8277 0.0000 0.0000
0.0000 3.9438 0.0000
-2.2572 0.0000 6.4582
Sm Ho Zr P
1 2 1 4
direct
0.0000 0.0000 0.0000
0.5000 0.0000 0.5000
0.5000 0.5000 0.0000
0.0000 0.5000 0.5000
0.2425 0.0000 0.7376
0.2495 0.5000 0.2607
0.7505 0.5000 0.7393
0.7575 0.0000 0.2624
```

---

(2)
# BaGdSc2
Theoretical X-ray diffraction stick pattern, λ = 1.5418 Å (Cu Kα). Input: a cell relaxed with GGA-PBE.
Kinematic intensities with the Lorentz-polarization factor, no thermal factor.

Main lines, by angle (10° ≤ 2θ ≤ 90°):
- 2θ = 14.46°, I = 73
- 2θ = 29.15°, I = 44
- 2θ = 30.27°, I = 100
- 2θ = 31.45°, I = 44
- 2θ = 35.82°, I = 50
- 2θ = 38.82°, I = 66
- 2θ = 53.03°, I = 27
- 2θ = 61.66°, I = 31

Structural model:
```
BaGdSc2
1.0
1.7269 0.9970 12.2524
-1.7269 0.9970 12.2524
0.0000 -1.9940 12.2524
Ba Gd Sc
1 1 2
direct
0.0000 0.0000 0.0000
0.5000 0.5000 0.5000
0.0933 0.0933 0.0933
0.9067 0.9067 0.9067
```

---

(3)
# Sb4S3O2
Theoretical X-ray diffraction stick pattern, λ = 1.5418 Å (Cu Kα). Input: a cell relaxed with GGA-PBE.
Kinematic intensities with the Lorentz-polarization factor, no thermal factor.

Main lines, by angle (10° ≤ 2θ ≤ 90°):
- 2θ = 16.10°, I = 74
- 2θ = 20.54°, I = 89
- 2θ = 22.95°, I = 100
- 2θ = 24.88°, I = 91
- 2θ = 27.13°, I = 60
- 2θ = 32.14°, I = 95
- 2θ = 32.26°, I = 73
- 2θ = 33.12°, I = 82

Structural model:
```
Sb4S3O2
1.0
5.7820 0.0000 0.0000
0.9056 7.1621 0.0000
2.1918 2.4020 11.0077
Sb S O
8 6 4
direct
0.1455 0.4395 0.1971
0.1622 0.1349 0.6173
0.2868 0.6760 0.5339
0.3143 0.2554 0.9866
0.6857 0.7446 0.0134
0.7132 0.3240 0.4661
0.8378 0.8651 0.3827
0.8545 0.5605 0.8029
0.0435 0.7772 0.1002
0.2724 0.0630 0.4076
0.4088 0.5597 0.8416
0.5912 0.4403 0.1584
0.7276 0.9370 0.5924
0.9565 0.2228 0.8998
0.1039 0.6594 0.4064
0.3831 0.3612 0.5675
0.6169 0.6388 0.4325
0.8961 0.3406 0.5936
```

---

(4)
# SrAcCdHg2
Theoretical X-ray diffraction stick pattern, λ = 1.5418 Å (Cu Kα). Input: a cell relaxed with GGA-PBE.
Kinematic intensities with the Lorentz-polarization factor, no thermal factor.

Main lines, by angle (10° ≤ 2θ ≤ 90°):
- 2θ = 21.14°, I = 37
- 2θ = 23.57°, I = 40
- 2θ = 29.74°, I = 100
- 2θ = 37.05°, I = 72
- 2θ = 38.03°, I = 47
- 2θ = 48.21°, I = 27
- 2θ = 62.33°, I = 25
- 2θ = 66.74°, I = 29

Structural model:
```
SrAcCdHg2
1.0
4.8527 0.0000 0.0000
-2.4263 4.2025 0.0000
0.0000 0.0000 8.5898
Sr Ac Cd Hg
1 1 1 2
direct
0.0000 0.0000 0.0000
0.6667 0.3333 0.4261
0.3333 0.6667 0.6796
0.3333 0.6667 0.2192
0.6667 0.3333 0.8057
```

---

(5)
# Yb3Al
Theoretical X-ray diffraction stick pattern, λ = 1.5418 Å (Cu Kα). Input: a cell relaxed with GGA-PBE.
Kinematic intensities with the Lorentz-polarization factor, no thermal factor.

Main lines, by angle (10° ≤ 2θ ≤ 90°):
- 2θ = 20.14°, I = 16
- 2θ = 23.29°, I = 9
- 2θ = 33.18°, I = 100
- 2θ = 39.12°, I = 9
- 2θ = 47.62°, I = 18
- 2θ = 59.27°, I = 38
- 2θ = 69.64°, I = 12
- 2θ = 79.34°, I = 17

Structural model:
```
Yb3Al
1.0
0.0000 3.8189 3.8189
3.8189 0.0000 3.8189
3.8189 3.8189 0.0000
Yb Al
3 1
direct
0.0000 0.0000 0.0000
0.2500 0.2500 0.2500
0.7500 0.7500 0.7500
0.5000 0.5000 0.5000
```

---

(6)
# RbNi
Theoretical X-ray diffraction stick pattern, λ = 1.5418 Å (Cu Kα). Input: a cell relaxed with GGA-PBE.
Kinematic intensities with the Lorentz-polarization factor, no thermal factor.

Main lines, by angle (10° ≤ 2θ ≤ 90°):
- 2θ = 24.80°, I = 27
- 2θ = 28.09°, I = 61
- 2θ = 28.44°, I = 100
- 2θ = 35.90°, I = 22
- 2θ = 43.40°, I = 18
- 2θ = 49.51°, I = 18
- 2θ = 52.49°, I = 20
- 2θ = 57.90°, I = 22

Structural model:
```
RbNi
1.0
14.3615 0.0000 0.0000
0.0000 4.1704 0.0000
0.0000 0.0000 6.3531
Rb Ni
6 6
direct
0.0000 0.2439 0.0000
0.2336 0.7457 0.0119
0.2664 0.2543 0.5119
0.5000 0.7561 0.5000
0.7336 0.2543 0.5119
0.7664 0.7457 0.0119
0.0000 0.2587 0.5013
0.0791 0.7586 0.5038
0.4209 0.2414 0.0038
0.5000 0.7413 0.0013
0.5791 0.2414 0.0038
0.9209 0.7586 0.5038
```

---

(7)
# BP2
Theoretical X-ray diffraction stick pattern, λ = 1.5418 Å (Cu Kα). Input: a cell relaxed with GGA-PBE.
Kinematic intensities with the Lorentz-polarization factor, no thermal factor.

Main lines, by angle (10° ≤ 2θ ≤ 90°):
- 2θ = 29.91°, I = 100
- 2θ = 40.02°, I = 29
- 2θ = 42.02°, I = 13
- 2θ = 42.42°, I = 30
- 2θ = 57.88°, I = 15
- 2θ = 59.42°, I = 28
- 2θ = 61.24°, I = 12
- 2θ = 66.52°, I = 17

Structural model:
```
BP2
1.0
-1.5931 1.5931 4.3001
1.5931 -1.5931 4.3001
1.5931 1.5931 -4.3001
B P
1 2
direct
0.0000 0.0000 0.0000
0.1278 0.6278 0.5000
0.3722 0.8722 0.5000
```

---

(8)
# Cs2IrI6Br
Theoretical X-ray diffraction stick pattern, λ = 1.5418 Å (Cu Kα). Input: a cell relaxed with GGA-PBE.
Kinematic intensities with the Lorentz-polarization factor, no thermal factor.

Main lines, by angle (10° ≤ 2θ ≤ 90°):
- 2θ = 12.65°, I = 48
- 2θ = 14.14°, I = 31
- 2θ = 25.46°, I = 98
- 2θ = 28.50°, I = 100
- 2θ = 31.35°, I = 50
- 2θ = 40.75°, I = 35
- 2θ = 42.88°, I = 68
- 2θ = 52.30°, I = 51

Structural model:
```
Cs2IrI6Br
1.0
-4.4292 4.4292 5.7058
4.4292 -4.4292 5.7058
4.4292 4.4292 -5.7058
Cs Ir I Br
2 1 6 1
direct
0.2500 0.7500 0.5000
0.7500 0.2500 0.5000
0.0000 0.0000 0.0000
0.2136 0.2136 0.4272
0.2136 0.7864 0.0000
0.2449 0.2449 0.0000
0.7551 0.7551 0.0000
0.7864 0.2136 0.0000
0.7864 0.7864 0.5728
0.5000 0.5000 0.0000
```

---

(9)
# SmEr5Tl
Theoretical X-ray diffraction stick pattern, λ = 1.5418 Å (Cu Kα). Input: a cell relaxed with GGA-PBE.
Kinematic intensities with the Lorentz-polarization factor, no thermal factor.

Main lines, by angle (10° ≤ 2θ ≤ 90°):
- 2θ = 15.50°, I = 96
- 2θ = 18.16°, I = 65
- 2θ = 27.84°, I = 62
- 2θ = 31.30°, I = 93
- 2θ = 31.97°, I = 100
- 2θ = 39.14°, I = 60
- 2θ = 40.16°, I = 63
- 2θ = 40.33°, I = 70

Structural model:
```
SmEr5Tl
1.0
-3.9625 5.7150 3.1007
3.9625 -5.7150 3.1007
3.9625 5.7150 -3.1007
Sm Er Tl
1 5 1
direct
0.0000 0.0000 0.0000
0.1452 0.3981 0.7471
0.2071 0.7071 0.5000
0.4993 0.3131 0.8138
0.4993 0.6855 0.1862
0.6510 0.3981 0.2529
0.7350 0.2350 0.5000
```

---

(10)
# SrDy4
Theoretical X-ray diffraction stick pattern, λ = 1.5418 Å (Cu Kα). Input: a cell relaxed with GGA-PBE.
Kinematic intensities with the Lorentz-polarization factor, no thermal factor.

Main lines, by angle (10° ≤ 2θ ≤ 90°):
- 2θ = 27.22°, I = 100
- 2θ = 31.54°, I = 90
- 2θ = 45.20°, I = 67
- 2θ = 53.57°, I = 47
- 2θ = 56.16°, I = 23
- 2θ = 72.64°, I = 19
- 2θ = 74.84°, I = 30
- 2θ = 83.46°, I = 23

Structural model:
```
SrDy4
1.0
5.6737 0.0000 0.0000
0.0000 5.6737 0.0000
0.0000 0.0000 5.6737
Sr Dy
1 4
direct
0.0000 0.0000 0.0000
0.0000 0.0000 0.5000
0.0000 0.5000 0.0000
0.5000 0.0000 0.0000
0.5000 0.5000 0.5000
```

---

(11)
# ZnIn5
Theoretical X-ray diffraction stick pattern, λ = 1.5418 Å (Cu Kα). Input: a cell relaxed with GGA-PBE.
Kinematic intensities with the Lorentz-polarization factor, no thermal factor.

Main lines, by angle (10° ≤ 2θ ≤ 90°):
- 2θ = 32.95°, I = 34
- 2θ = 34.37°, I = 100
- 2θ = 48.30°, I = 12
- 2θ = 50.52°, I = 7
- 2θ = 59.77°, I = 16
- 2θ = 61.48°, I = 8
- 2θ = 61.65°, I = 10
- 2θ = 72.48°, I = 7

Structural model:
```
ZnIn5
1.0
2.7183 -7.8430 0.0000
2.7183 7.8430 0.0000
0.0000 0.0000 3.6132
Zn In
1 5
direct
0.0000 0.0000 0.0000
0.1449 0.8551 0.5000
0.3216 0.6784 0.0000
0.5000 0.5000 0.5000
0.6784 0.3216 0.0000
0.8551 0.1449 0.5000
```